This entry pairs a crystal structure of Ba2NaC2 with its computed powder XRD pattern. Radiation: λ = 1.5418 Å (Cu Kα). Structure: a DFT-relaxed cell (GGA-PBE, Alexandria).
No peak broadening, texture or thermal motion is included.

Crystal structure
```
data_Ba2NaC2
_symmetry_space_group_name_H-M 'I 4/m m m'
_symmetry_Int_Tables_number 139
_symmetry_space_group_name_Hall '-I 4 2'
_cell_length_a 5.273
_cell_length_b 5.273
_cell_length_c 11.525
_cell_angle_alpha 90.00
_cell_angle_beta 90.00
_cell_angle_gamma 90.00
loop_
_atom_site_label
_atom_site_fract_x
_atom_site_fract_y
_atom_site_fract_z
Ba1 0.000 0.000 0.173
Na1 0.000 0.000 0.500
C1 0.000 0.500 0.250
```

Top 12 peaks for 2θ = 5–70°, by angle:
hkl 0 0 2, 2θ 15.4, intensity 30.8
hkl 1 0 1, 2θ 18.5, intensity 34.0
hkl 1 1 0, 2θ 23.9, intensity 67.6
hkl 1 1 2, 2θ 28.5, intensity 12.7
hkl 1 0 3, 2θ 28.8, intensity 100.0
hkl 2 0 0, 2θ 34.0, intensity 37.4
hkl 2 1 3, 2θ 45.1, intensity 57.2
hkl 2 2 0, 2θ 48.9, intensity 12.9
hkl 1 1 6, 2θ 53.7, intensity 18.5
hkl 3 1 0, 2θ 55.1, intensity 14.1
hkl 3 0 3, 2θ 57.7, intensity 13.7
hkl 3 2 3, 2θ 68.7, intensity 16.3


This entry pairs a crystal structure of Ba3Na3C5O15 with its computed powder XRD pattern. Radiation: λ = 1.5418 Å (Cu Kα). Structure: a DFT-relaxed cell (GGA-PBE, Alexandria).
No peak broadening, texture or thermal motion is included.

Crystal structure
```
data_Ba3Na3C5O15
_symmetry_space_group_name_H-M 'P 63 m c'
_symmetry_Int_Tables_number 186
_symmetry_space_group_name_Hall 'P 6c -2c'
_cell_length_a 10.9862
_cell_length_b 10.9862
_cell_length_c 6.9463
_cell_angle_alpha 90.00
_cell_angle_beta 90.00
_cell_angle_gamma 120.00
loop_
_atom_site_label
_atom_site_fract_x
_atom_site_fract_y
_atom_site_fract_z
Ba1 0.1585 0.3170 0.0000
Na1 0.0506 0.5253 0.7001
C1 0.0000 0.0000 0.1779
C2 0.2049 0.4099 0.4617
C3 0.3333 0.6667 0.0013
O1 0.0683 0.1365 0.6753
O2 0.0912 0.3878 0.3726
O3 0.1966 0.5983 0.0013
O4 0.2257 0.4514 0.6379
```

Top 12 peaks for 2θ = 5–70°, by angle:
hkl 1 0 0, 2θ 9.3, intensity 32.8
hkl 1 0 1, 2θ 15.8, intensity 33.1
hkl 2 0 0, 2θ 18.7, intensity 33.0
hkl 2 0 1, 2θ 22.7, intensity 100.0
hkl 0 0 2, 2θ 25.6, intensity 34.2
hkl 2 1 1, 2θ 27.9, intensity 64.0
hkl 2 0 2, 2θ 31.9, intensity 67.9
hkl 2 2 0, 2θ 32.6, intensity 68.3
hkl 4 0 1, 2θ 40.1, intensity 84.2
hkl 2 2 2, 2θ 41.9, intensity 46.6
hkl 2 0 3, 2θ 43.5, intensity 48.1
hkl 4 2 1, 2θ 52.6, intensity 44.1


This entry pairs a crystal structure of BaNi2C with its computed powder XRD pattern. Radiation: λ = 1.5418 Å (Cu Kα). Structure: a DFT-relaxed cell (GGA-PBE, Alexandria).
No peak broadening, texture or thermal motion is included.

Crystal structure
```
data_BaNi2C
_symmetry_space_group_name_H-M 'I 41/a m d'
_symmetry_Int_Tables_number 141
_cell_length_a 5.940
_cell_length_b 5.940
_cell_length_c 8.375
_cell_angle_alpha 90.00
_cell_angle_beta 90.00
_cell_angle_gamma 90.00
loop_
_symmetry_equiv_pos_as_xyz
'x,y,z'
'-x,-y,-z'
'-y+1/4,x+3/4,z+1/4'
'y+1/4,-x+3/4,-z+1/4'
'-x+1/2,-y,z+1/2'
'x+1/2,y,-z+1/2'
'y+1/4,-x+1/4,z+3/4'
'-y+1/4,x+1/4,-z+3/4'
'x,-y,-z'
'-x,y,z'
'-y+1/4,-x+1/4,-z+3/4'
'y+1/4,x+1/4,z+3/4'
'-x+1/2,y,-z+1/2'
'x+1/2,-y,z+1/2'
'y+1/4,x+3/4,-z+1/4'
'-y+1/4,-x+3/4,z+1/4'
'x+1/2,y+1/2,z+1/2'
'-x+1/2,-y+1/2,-z+1/2'
'-y+3/4,x+1/4,z+3/4'
'y+3/4,-x+1/4,-z+3/4'
'-x,-y+1/2,z'
'x,y+1/2,-z'
'y+3/4,-x+3/4,z+1/4'
'-y+3/4,x+3/4,-z+1/4'
'x+1/2,-y+1/2,-z+1/2'
'-x+1/2,y+1/2,z+1/2'
'-y+3/4,-x+3/4,-z+1/4'
'y+3/4,x+3/4,z+1/4'
'-x,y+1/2,-z'
'x,-y+1/2,z'
'y+3/4,x+1/4,-z+3/4'
'-y+3/4,-x+1/4,z+3/4'
loop_
_atom_site_label
_atom_site_fract_x
_atom_site_fract_y
_atom_site_fract_z
Ba1 0.000 0.250 0.375
Ni1 0.000 0.000 0.000
C1 0.000 0.250 0.875
```

Top 11 peaks for 2θ = 5–70°, by angle:
hkl 1 0 1, 2θ 18.3, intensity 2.3
hkl 2 0 0, 2θ 30.1, intensity 69.5
hkl 2 1 1, 2θ 35.5, intensity 100.0
hkl 2 0 2, 2θ 37.1, intensity 22.1
hkl 3 0 1, 2θ 47.2, intensity 0.9
hkl 3 1 2, 2θ 53.5, intensity 26.2
hkl 3 2 1, 2θ 57.0, intensity 24.9
hkl 1 0 5, 2θ 57.1, intensity 8.2
hkl 4 0 0, 2θ 62.6, intensity 9.7
hkl 2 2 4, 2θ 62.7, intensity 19.3
hkl 4 1 1, 2θ 65.8, intensity 0.6